No. 1
The following is a calculated X-ray powder pattern of CsAg2I3. It was derived from DFT lattice parameters and positions (PBE), using Cu Kα, 1.54184 Å.
Neutral-atom scattering factors, no anomalous dispersion.

Top 10 peaks for 15° ≤ 2θ ≤ 90°, by angle:
2θ (°), intensity, h k l
19.5, 16, 2 0 2
19.8, 19, 3 0 1
24.4, 100, 2 1 2
24.6, 25, 3 1 1
29.4, 24, 3 0 3
31.9, 15, 2 2 0
38.0, 27, 1 2 3
38.6, 52, 5 0 3
43.0, 26, 0 2 4
49.1, 15, 2 3 2

Structural model:
```
data_CsAg2I3
_symmetry_space_group_name_H-M 'P 1'
_symmetry_Int_Tables_number 1
_cell_length_a 14.5785
_cell_length_b 6.0893
_cell_length_c 11.6728
_cell_angle_alpha 90.00
_cell_angle_beta 90.00
_cell_angle_gamma 90.00
loop_
_symmetry_equiv_pos_as_xyz
'x,y,z'
loop_
_atom_site_label
_atom_site_fract_x
_atom_site_fract_y
_atom_site_fract_z
Cs1 0.1956 0.2500 0.0055
Cs2 0.3044 0.7500 0.5055
Cs3 0.6956 0.2500 0.4945
Cs4 0.8044 0.7500 0.9945
Ag1 0.0014 0.5007 0.3306
Ag2 0.0014 0.9993 0.3306
Ag3 0.4986 0.0007 0.8306
Ag4 0.4986 0.4993 0.8306
Ag5 0.5014 0.5007 0.1694
Ag6 0.5014 0.9993 0.1694
Ag7 0.9986 0.0007 0.6694
Ag8 0.9986 0.4993 0.6694
I1 0.1127 0.2500 0.5021
I2 0.1262 0.7500 0.7978
I3 0.1374 0.7500 0.2145
I4 0.3626 0.2500 0.7145
I5 0.3738 0.2500 0.2978
I6 0.3873 0.7500 0.0021
I7 0.6127 0.2500 0.9979
I8 0.6262 0.7500 0.7022
I9 0.6374 0.7500 0.2855
I10 0.8626 0.2500 0.7855
I11 0.8738 0.2500 0.2022
I12 0.8873 0.7500 0.4979
```

No. 2
The following is a calculated X-ray powder pattern of Pr3Lu. It was derived from DFT lattice parameters and positions (PBE), using Cu Kα, 1.54184 Å.
Neutral-atom scattering factors, no anomalous dispersion.

Top 10 peaks for 15° ≤ 2θ ≤ 90°, by angle:
2θ (°), intensity, h k l
28.1, 23, 2 0 0
29.9, 26, 0 0 2
31.9, 100, 2 0 1
41.4, 16, 2 0 2
49.7, 19, 2 2 0
54.3, 22, 2 0 3
59.0, 23, 2 2 2
60.2, 16, 4 0 1
81.7, 14, 4 2 1
83.3, 9, 2 2 4

Structural model:
```
data_Pr3Lu
_symmetry_space_group_name_H-M 'P 1'
_symmetry_Int_Tables_number 1
_cell_length_a 7.3440
_cell_length_b 7.3440
_cell_length_c 5.9816
_cell_angle_alpha 90.00
_cell_angle_beta 90.00
_cell_angle_gamma 120.00
loop_
_symmetry_equiv_pos_as_xyz
'x,y,z'
loop_
_atom_site_label
_atom_site_fract_x
_atom_site_fract_y
_atom_site_fract_z
Pr1 0.1687 0.3373 0.2500
Pr2 0.1687 0.8313 0.2500
Pr3 0.3373 0.1687 0.7500
Pr4 0.6627 0.8313 0.2500
Pr5 0.8313 0.1687 0.7500
Pr6 0.8313 0.6627 0.7500
Lu1 0.3333 0.6667 0.7500
Lu2 0.6667 0.3333 0.2500
```

No. 3
The following is a calculated X-ray powder pattern of HoCo5. It was derived from DFT lattice parameters and positions (PBE), using Cu Kα, 1.54184 Å.
Neutral-atom scattering factors, no anomalous dispersion.

Top 10 peaks for 15° ≤ 2θ ≤ 90°, by angle:
2θ (°), intensity, h k l
30.9, 56, 1 0 1
36.6, 34, 1 1 0
42.5, 36, 2 0 0
43.4, 100, 1 1 1
46.0, 26, 0 0 2
60.2, 16, 1 1 2
62.4, 15, 2 1 1
64.4, 20, 2 0 2
70.6, 22, 3 0 1
77.9, 15, 2 2 0

Structural model:
```
data_HoCo5
_symmetry_space_group_name_H-M 'P 1'
_symmetry_Int_Tables_number 1
_cell_length_a 4.9068
_cell_length_b 4.9068
_cell_length_c 3.9488
_cell_angle_alpha 90.00
_cell_angle_beta 90.00
_cell_angle_gamma 120.00
loop_
_symmetry_equiv_pos_as_xyz
'x,y,z'
loop_
_atom_site_label
_atom_site_fract_x
_atom_site_fract_y
_atom_site_fract_z
Ho1 0.0000 0.0000 0.0000
Co1 0.0000 0.5000 0.5000
Co2 0.3333 0.6667 0.0000
Co3 0.5000 0.0000 0.5000
Co4 0.5000 0.5000 0.5000
Co5 0.6667 0.3333 0.0000
```

No. 4
The following is a calculated X-ray powder pattern of Zn3Se4O14. It was derived from DFT lattice parameters and positions (PBE), using Cu Kα, 1.54184 Å.
Neutral-atom scattering factors, no anomalous dispersion.

Top 10 peaks for 15° ≤ 2θ ≤ 90°, by angle:
2θ (°), intensity, h k l
20.8, 31, 1 1 1
23.6, 67, 2 1 0
27.0, 100, 2 1 -2
29.0, 65, 1 0 2
30.0, 28, 0 2 2
30.7, 30, 0 3 1
31.7, 27, 2 2 -2
31.9, 24, 3 1 -1
34.1, 68, 1 3 1
37.5, 32, 2 0 2

Structural model:
```
data_Zn3Se4O14
_symmetry_space_group_name_H-M 'P 1'
_symmetry_Int_Tables_number 1
_cell_length_a 8.8244
_cell_length_b 9.4382
_cell_length_c 8.2761
_cell_angle_alpha 90.00
_cell_angle_beta 111.56
_cell_angle_gamma 90.00
loop_
_symmetry_equiv_pos_as_xyz
'x,y,z'
loop_
_atom_site_label
_atom_site_fract_x
_atom_site_fract_y
_atom_site_fract_z
Zn1 0.0000 0.0000 0.0000
Zn2 0.0000 0.5000 0.5000
Zn3 0.0992 0.1256 0.4380
Zn4 0.0992 0.3744 0.9380
Zn5 0.9008 0.6256 0.0620
Zn6 0.9008 0.8744 0.5620
Se1 0.1642 0.6969 0.8435
Se2 0.1642 0.8031 0.3435
Se3 0.3817 0.1784 0.2499
Se4 0.3817 0.3216 0.7499
Se5 0.6183 0.6784 0.2501
Se6 0.6183 0.8216 0.7501
Se7 0.8358 0.1969 0.6565
Se8 0.8358 0.3031 0.1565
O1 0.0102 0.1776 0.8492
O2 0.0102 0.3224 0.3492
O3 0.1038 0.5896 0.9817
O4 0.1038 0.9104 0.4817
O5 0.1317 0.6332 0.3972
O6 0.1317 0.8668 0.8972
O7 0.2102 0.0782 0.2341
O8 0.2102 0.4218 0.7341
O9 0.3008 0.1668 0.6408
O10 0.3008 0.3332 0.1408
O11 0.3246 0.0093 0.8567
O12 0.3246 0.4907 0.3567
O13 0.4553 0.1131 0.0964
O14 0.4553 0.3869 0.5964
O15 0.5447 0.6131 0.4036
O16 0.5447 0.8869 0.9036
O17 0.6754 0.5093 0.6433
O18 0.6754 0.9907 0.1433
O19 0.6992 0.6668 0.8592
O20 0.6992 0.8332 0.3592
O21 0.7898 0.5782 0.2659
O22 0.7898 0.9218 0.7659
O23 0.8683 0.1332 0.1028
O24 0.8683 0.3668 0.6028
O25 0.8962 0.0896 0.5183
O26 0.8962 0.4104 0.0183
O27 0.9898 0.6776 0.6508
O28 0.9898 0.8224 0.1508
```

No. 5
The following is a calculated X-ray powder pattern of Ca4Bi6O13. It was derived from DFT lattice parameters and positions (PBE), using Cu Kα, 1.54184 Å.
Neutral-atom scattering factors, no anomalous dispersion.

Top 10 peaks for 15° ≤ 2θ ≤ 90°, by angle:
2θ (°), intensity, h k l
21.1, 62, 1 0 1
29.1, 100, 1 2 -1
29.3, 73, 1 0 2
29.8, 31, 2 0 -1
31.8, 46, 0 2 2
44.1, 54, 2 2 1
50.0, 18, 0 4 0
52.4, 19, 3 2 -2
55.2, 30, 1 2 -5
59.0, 19, 1 4 2

Structural model:
```
data_Ca4Bi6O13
_symmetry_space_group_name_H-M 'P 1'
_symmetry_Int_Tables_number 1
_cell_length_a 6.0026
_cell_length_b 7.3031
_cell_length_c 9.3361
_cell_angle_alpha 90.00
_cell_angle_beta 108.69
_cell_angle_gamma 90.00
loop_
_symmetry_equiv_pos_as_xyz
'x,y,z'
loop_
_atom_site_label
_atom_site_fract_x
_atom_site_fract_y
_atom_site_fract_z
Ca1 0.0000 0.2471 0.0000
Ca2 0.0000 0.7529 0.0000
Ca3 0.4299 0.2468 0.8583
Ca4 0.4299 0.7532 0.8583
Bi1 0.1449 0.2719 0.4309
Bi2 0.1449 0.7281 0.4309
Bi3 0.5434 0.5000 0.2025
Bi4 0.5518 0.0000 0.2066
Bi5 0.7695 0.5000 0.6567
Bi6 0.7794 0.0000 0.6532
O1 0.0146 0.2450 0.7349
O2 0.0146 0.7550 0.7349
O3 0.0448 0.0000 0.4498
O4 0.2809 0.0000 0.9940
O5 0.2857 0.5000 0.9878
O6 0.2874 0.2623 0.2506
O7 0.2874 0.7377 0.2506
O8 0.4682 0.2691 0.6095
O9 0.4682 0.7309 0.6095
O10 0.7115 0.2456 0.1268
O11 0.7115 0.7544 0.1268
O12 0.7169 0.0000 0.8661
O13 0.7279 0.5000 0.8725
```

Repeat the second record exactly.
The following is a calculated X-ray powder pattern of Pr3Lu. It was derived from DFT lattice parameters and positions (PBE), using Cu Kα, 1.54184 Å.
Neutral-atom scattering factors, no anomalous dispersion.

Top 10 peaks for 15° ≤ 2θ ≤ 90°, by angle:
2θ (°), intensity, h k l
28.1, 23, 2 0 0
29.9, 26, 0 0 2
31.9, 100, 2 0 1
41.4, 16, 2 0 2
49.7, 19, 2 2 0
54.3, 22, 2 0 3
59.0, 23, 2 2 2
60.2, 16, 4 0 1
81.7, 14, 4 2 1
83.3, 9, 2 2 4

Structural model:
```
data_Pr3Lu
_symmetry_space_group_name_H-M 'P 1'
_symmetry_Int_Tables_number 1
_cell_length_a 7.3440
_cell_length_b 7.3440
_cell_length_c 5.9816
_cell_angle_alpha 90.00
_cell_angle_beta 90.00
_cell_angle_gamma 120.00
loop_
_symmetry_equiv_pos_as_xyz
'x,y,z'
loop_
_atom_site_label
_atom_site_fract_x
_atom_site_fract_y
_atom_site_fract_z
Pr1 0.1687 0.3373 0.2500
Pr2 0.1687 0.8313 0.2500
Pr3 0.3373 0.1687 0.7500
Pr4 0.6627 0.8313 0.2500
Pr5 0.8313 0.1687 0.7500
Pr6 0.8313 0.6627 0.7500
Lu1 0.3333 0.6667 0.7500
Lu2 0.6667 0.3333 0.2500
```